NaSr3Pt: theoretical XRD peak list (λ = 1.5418 Å (Cu Kα)), based on a crystal structure in Alexandria, relaxed with PBE.
Kinematic intensities with the Lorentz-polarization factor, no thermal factor.

Peak list (10 most intense, 10° ≤ 2θ ≤ 90°, in order of rising 2θ)
12.90 deg, d = 6.865 Å, I 100.0, (0 1 1)
16.51 deg, d = 5.370 Å, I 42.0, (0 0 2)
23.87 deg, d = 3.728 Å, I 25.1, (1 1 1)
26.83 deg, d = 3.323 Å, I 27.1, (0 1 3)
28.35 deg, d = 3.148 Å, I 82.6, (1 2 0)
32.98 deg, d = 2.716 Å, I 29.1, (1 2 2)
33.37 deg, d = 2.685 Å, I 23.8, (0 0 4)
37.33 deg, d = 2.409 Å, I 25.1, (1 3 1)
44.34 deg, d = 2.043 Å, I 41.3, (1 2 4)
44.55 deg, d = 2.034 Å, I 20.1, (1 3 3)

Structural model:
```
data_NaSr3Pt
_space_group_name_H-M_alt 'P 1 21/m 1'
_space_group_IT_number 11
_space_group_name_Hall '-P 2yb'
_cell_length_a 4.440
_cell_length_b 8.926
_cell_length_c 10.740
_cell_angle_alpha 90.00
_cell_angle_beta 90.05
_cell_angle_gamma 90.00
loop_
_atom_site_label
_atom_site_fract_x
_atom_site_fract_y
_atom_site_fract_z
Na1 0.000 0.250 0.026
Sr1 0.000 0.250 0.486
Sr2 0.500 0.027 0.772
Pt1 0.000 0.250 0.757
```